This entry pairs a crystal structure of Ce6Tl3Pd with its computed XRD peak list. Radiation: a wavelength of 1.5418 Å. Structure: DFT lattice parameters and positions (PBE).

Main lines, in order of rising 2θ (10 to 90 degrees two-theta):
| (hkl) | two_theta | d [Å] | Rel. int. |
| --- | --- | --- | --- |
| 0 2 1 | 28.21 | 3.164 | 427 |
| 3 1 -1 | 29.52 | 3.026 | 765 |
| 2 0 2 | 31.86 | 2.809 | 834 |
| 2 2 -1 | 32.03 | 2.794 | 632 |
| 3 1 -2 | 32.86 | 2.726 | 340 |
| 1 1 -3 | 34.33 | 2.612 | 1000 |
| 2 2 1 | 35.20 | 2.550 | 769 |
| 2 2 -2 | 35.92 | 2.500 | 376 |

Crystal structure
Cell: 10.222 6.861 8.475 Å, 90.00 105.13 90.00°
Space group C2/m (No. 12)
Inequivalent atoms, fractional coordinates:
Ce: 0.129 0.201 0.362 (multiplicity 8)
Ce: 0.144 0.500 0.882 (multiplicity 4)
Tl: 0.000 0.000 0.000 (multiplicity 2)
Tl: 0.173 0.000 0.742 (multiplicity 4)
Pd: 0.000 0.500 0.500 (multiplicity 2)

=====

This entry pairs a crystal structure of CeTlPd4 with its computed XRD peak list. Radiation: a wavelength of 1.5418 Å. Structure: DFT lattice parameters and positions (PBE).

Main lines, in order of rising 2θ (10 to 90 degrees two-theta):
| (hkl) | two_theta | d [Å] | Rel. int. |
| --- | --- | --- | --- |
| 2 2 0 | 32.91 | 2.722 | 427 |
| 3 1 1 | 38.80 | 2.321 | 1000 |
| 2 2 2 | 40.60 | 2.222 | 267 |
| 4 2 2 | 58.76 | 1.571 | 165 |
| 3 3 3 | 62.72 | 1.481 | 324 |
| 4 4 0 | 69.02 | 1.361 | 257 |
| 5 3 3 | 82.10 | 1.174 | 114 |
| 6 2 2 | 83.26 | 1.161 | 97 |

Crystal structure
Cell: 7.698 7.698 7.698 Å, 90.00 90.00 90.00°
Space group F-43m (No. 216)
Inequivalent atoms, fractional coordinates:
Ce: 0.000 0.000 0.000 (multiplicity 4)
Tl: 0.250 0.250 0.250 (multiplicity 4)
Pd: 0.125 0.125 0.625 (multiplicity 16)